# 1
Diffraction record for BeMoPIr. The powder XRD pattern is computed, not measured: it uses a structure optimized by DFT (PBE) and Cu Ka.
Neutral-atom scattering factors, no anomalous dispersion.

Crystal structure
a b c (Å): 3.0106 3.4164 5.1830
angles (deg): 90.00 90.00 90.00
Space group Pmm2 (No. 25)
Asymmetric unit:
Be: 0.0000 0.0000 0.0000 [1 per cell]
Mo: 0.0000 0.5000 0.6537 [1 per cell]
P: 0.5000 0.5000 0.0186 [1 per cell]
Ir: 0.5000 0.0000 0.3478 [1 per cell]

Largest 8 diffraction maxima, in order of rising 2θ, 2θ = 10–80°:
index  2theta  I_rel
0 0 1  17.11  759
0 1 1  31.36  1000
1 0 1  34.45  756
1 1 0  39.91  550
1 1 1  43.72  609
0 1 2  43.85  530
1 0 2  46.22  397
1 2 1  65.34  236

# 2
Diffraction record for Sm3Er2Te8. The powder XRD pattern is computed, not measured: it uses a structure optimized by DFT (PBE) and Cu Ka.
Neutral-atom scattering factors, no anomalous dispersion.

Crystal structure
a b c (Å): 15.4070 8.7728 7.5683
angles (deg): 90.00 108.73 90.00
Space group C2/m (No. 12)
Asymmetric unit:
Sm: 0.0000 0.0000 0.0000 [2 per cell]
Sm: 0.0000 0.2584 0.5000 [4 per cell]
Er: 0.2499 0.0000 0.8324 [4 per cell]
Te: 0.1180 0.5000 0.3879 [4 per cell]
Te: 0.1246 0.0000 0.4203 [4 per cell]
Te: 0.1254 0.2486 0.9153 [8 per cell]

Largest 8 diffraction maxima, in order of rising 2θ, 2θ = 10–80°:
index  2theta  I_rel
1 1 1  18.46  366
2 2 -1  24.85  732
2 0 2  31.14  546
4 2 -1  31.25  1000
4 2 1  37.20  577
6 0 -2  37.43  314
0 4 0  41.16  339
2 2 -3  41.28  656

# 3
Diffraction record for La4TbNd5. The powder XRD pattern is computed, not measured: it uses a structure optimized by DFT (PBE) and Cu Ka.
Neutral-atom scattering factors, no anomalous dispersion.

Crystal structure
a b c (Å): 10.7800 10.7800 6.0543
angles (deg): 90.00 90.00 90.00
Space group P4/nmm (No. 129, origin choice 2)
Asymmetric unit:
La: 0.0491 0.7500 0.1287 [8 per cell]
Tb: 0.2500 0.2500 0.8380 [2 per cell]
Nd: 0.0909 0.0909 0.3473 [8 per cell]
Nd: 0.2500 0.7500 0.5000 [2 per cell]

Largest 8 diffraction maxima, in order of rising 2θ, 2θ = 10–80°:
index  2theta  I_rel
2 2 1  27.66  223
3 0 1  28.89  1000
3 1 1  30.08  487
1 0 2  30.68  364
3 3 0  35.32  330
6 0 0  50.82  165
4 3 2  52.08  290
6 3 1  59.52  179

# 4
Diffraction record for Sm8PSe3S4. The powder XRD pattern is computed, not measured: it uses a structure optimized by DFT (PBE) and Cu Ka.
Neutral-atom scattering factors, no anomalous dispersion.

Crystal structure
a b c (Å): 8.1743 8.1743 20.0262
angles (deg): 90.00 90.00 120.00
Space group R-3m (No. 166, hexagonal axes)
Asymmetric unit:
Sm: 0.0000 0.0000 0.2418 [6 per cell]
Sm: 0.0156 0.5078 0.7534 [18 per cell]
P: 0.0000 0.0000 0.0000 [3 per cell]
Se: 0.0000 0.5000 0.0000 [9 per cell]
S: 0.0000 0.0000 0.5000 [3 per cell]
S: 0.0000 0.5000 0.5000 [9 per cell]

Largest 8 diffraction maxima, in order of rising 2θ, 2θ = 10–80°:
index  2theta  I_rel
2 0 2  26.71  461
0 2 4  30.94  1000
2 2 0  44.32  717
0 4 2  52.51  209
4 0 4  55.03  245
0 4 8  64.48  111
4 2 2  71.09  77
2 4 4  73.23  299

# 5
Diffraction record for Tl2W. The powder XRD pattern is computed, not measured: it uses a structure optimized by DFT (PBE) and Cu Ka.
Neutral-atom scattering factors, no anomalous dispersion.

Crystal structure
a b c (Å): 10.7269 3.2235 9.1160
angles (deg): 90.00 107.13 90.00
Space group Cm (No. 8)
Asymmetric unit:
Tl: 0.0000 0.0000 0.0000 [2 per cell]
Tl: 0.0364 0.5000 0.3461 [2 per cell]
Tl: 0.1864 0.0000 0.7628 [2 per cell]
Tl: 0.3813 0.5000 0.5907 [2 per cell]
W: 0.2565 0.0000 0.2836 [2 per cell]
W: 0.2567 0.5000 0.0796 [2 per cell]

Largest 8 diffraction maxima, in order of rising 2θ, 2θ = 10–80°:
index  2theta  I_rel
2 0 2  30.60  1000
1 1 1  31.70  341
4 0 -1  33.41  699
1 1 -2  34.17  907
1 1 2  37.25  439
3 1 -2  39.81  374
3 1 1  41.87  352
4 2 -1  67.81  309

# 6
Diffraction record for TlAg2S2. The powder XRD pattern is computed, not measured: it uses a structure optimized by DFT (PBE) and Cu Ka.
Neutral-atom scattering factors, no anomalous dispersion.

Crystal structure
a b c (Å): 4.6143 4.6143 7.2397
angles (deg): 90.00 90.00 90.00
Space group P-4m2 (No. 115)
Asymmetric unit:
Tl: 0.0000 0.0000 0.0000 [1 per cell]
Ag: 0.5000 0.5000 0.3032 [2 per cell]
S: 0.0000 0.5000 0.7819 [2 per cell]

Largest 8 diffraction maxima, in order of rising 2θ, 2θ = 10–80°:
index  2theta  I_rel
0 0 1  12.23  246
1 0 1  22.85  1000
1 1 0  27.33  515
1 0 2  31.41  809
2 0 0  39.04  377
2 1 1  45.72  317
1 1 3  46.82  336
2 1 2  50.94  412

# 7
Diffraction record for Mg7Si4. The powder XRD pattern is computed, not measured: it uses a structure optimized by DFT (PBE) and Cu Ka.
Neutral-atom scattering factors, no anomalous dispersion.

Crystal structure
a b c (Å): 5.1612 6.0607 14.3559
angles (deg): 96.12 91.91 90.50
Space group P1 (No. 1)
Asymmetric unit:
Mg: 0.0000 0.0000 0.0000 [1 per cell]
Mg: 0.0033 0.7437 0.2879 [1 per cell]
Mg: 0.0206 0.4765 0.9385 [1 per cell]
Mg: 0.2468 0.8498 0.5218 [1 per cell]
Mg: 0.2665 0.3771 0.5304 [1 per cell]
Mg: 0.3001 0.6758 0.7537 [1 per cell]
Mg: 0.5088 0.4913 0.3292 [1 per cell]
Mg: 0.5120 0.7350 0.9657 [1 per cell]
Mg: 0.5240 0.2102 0.8733 [1 per cell]
Mg: 0.5432 0.9918 0.2058 [1 per cell]
Mg: 0.7018 0.4592 0.1167 [1 per cell]
Mg: 0.7537 0.9095 0.6504 [1 per cell]
Mg: 0.7702 0.1129 0.4438 [1 per cell]
Mg: 0.7924 0.4020 0.6771 [1 per cell]
Si: 0.0200 0.1177 0.8120 [1 per cell]
Si: 0.2018 0.6880 0.1094 [1 per cell]
Si: 0.2119 0.2981 0.1310 [1 per cell]
Si: 0.2754 0.0808 0.3744 [1 per cell]
Si: 0.2957 0.1533 0.6817 [1 per cell]
Si: 0.7576 0.5976 0.5043 [1 per cell]
Si: 0.8118 0.7582 0.8200 [1 per cell]
Si: 0.9895 0.2881 0.2770 [1 per cell]

Largest 8 diffraction maxima, in order of rising 2θ, 2θ = 10–80°:
index  2theta  I_rel
0 1 -5  33.28  579
0 2 2  33.48  458
1 -2 1  34.39  512
2 0 -1  35.15  436
-1 2 1  35.38  578
2 0 1  35.60  502
1 -2 3  37.99  456
1 2 2  38.27  1000

# 8
Diffraction record for Pm2CdBi4. The powder XRD pattern is computed, not measured: it uses a structure optimized by DFT (PBE) and Cu Ka.
Neutral-atom scattering factors, no anomalous dispersion.

Crystal structure
a b c (Å): 4.5841 4.5841 10.5087
angles (deg): 90.00 90.00 90.00
Space group P-4m2 (No. 115)
Asymmetric unit:
Pm: 0.0000 0.5000 0.2438 [2 per cell]
Cd: 0.0000 0.0000 0.5000 [1 per cell]
Bi: 0.0000 0.0000 0.0000 [1 per cell]
Bi: 0.0000 0.5000 0.6811 [2 per cell]
Bi: 0.5000 0.5000 0.0000 [1 per cell]

Largest 8 diffraction maxima, in order of rising 2θ, 2θ = 10–80°:
index  2theta  I_rel
0 0 3  25.43  168
1 0 2  25.79  191
1 1 1  28.82  240
1 1 2  32.45  1000
2 0 0  39.31  386
1 0 5  47.60  158
2 2 0  56.81  134
3 1 2  66.96  254

# 9
Diffraction record for LiHfTc. The powder XRD pattern is computed, not measured: it uses a structure optimized by DFT (PBE) and Cu Ka.
Neutral-atom scattering factors, no anomalous dispersion.

Crystal structure
a b c (Å): 3.2361 14.5627 4.3962
angles (deg): 90.00 90.00 90.00
Space group Cmcm (No. 63)
Asymmetric unit:
Li: 0.0000 0.2395 0.2500 [4 per cell]
Hf: 0.0000 0.0794 0.7500 [4 per cell]
Tc: 0.0000 0.4195 0.7500 [4 per cell]

Largest 8 diffraction maxima, in order of rising 2θ, 2θ = 10–80°:
index  2theta  I_rel
0 2 0  12.16  1000
1 1 1  34.98  256
0 6 0  37.04  261
1 3 1  39.24  903
0 0 2  41.06  200
1 5 1  46.77  175
0 6 2  56.48  153
1 9 1  68.22  169

# 10
Diffraction record for Ni7Pt5. The powder XRD pattern is computed, not measured: it uses a structure optimized by DFT (PBE) and Cu Ka.
Neutral-atom scattering factors, no anomalous dispersion.

Crystal structure
a b c (Å): 7.9788 4.4414 9.3613
angles (deg): 90.00 106.56 90.00
Space group C2/m (No. 12)
Asymmetric unit:
Ni: 0.0000 0.0000 0.0000 [2 per cell]
Ni: 0.0748 0.5000 0.2539 [4 per cell]
Ni: 0.0761 0.0000 0.7325 [4 per cell]
Ni: 0.1734 0.0000 0.5044 [4 per cell]
Pt: 0.0000 0.5000 0.5000 [2 per cell]
Pt: 0.1710 0.5000 0.0179 [4 per cell]
Pt: 0.2404 0.0000 0.2478 [4 per cell]

Largest 8 diffraction maxima, in order of rising 2θ, 2θ = 10–80°:
index  2theta  I_rel
1 1 -2  28.34  80
0 0 4  40.20  321
0 2 0  40.63  336
1 1 3  40.80  82
3 1 1  44.55  1000
0 2 4  58.48  211
3 1 5  76.10  182
3 3 1  76.67  197

# 11
Diffraction record for FeCoC2. The powder XRD pattern is computed, not measured: it uses a structure optimized by DFT (PBE) and Cu Ka.
Neutral-atom scattering factors, no anomalous dispersion.

Crystal structure
a b c (Å): 4.2709 4.2709 8.5090
angles (deg): 90.00 90.00 90.00
Space group I-42d (No. 122)
Asymmetric unit:
Fe: 0.0000 0.0000 0.0000 [4 per cell]
Co: 0.0000 0.0000 0.5000 [4 per cell]
C: 0.2450 0.2500 0.1250 [8 per cell]

Largest 8 diffraction maxima, in order of rising 2θ, 2θ = 10–80°:
index  2theta  I_rel
1 1 2  36.49  1000
2 0 0  42.32  220
0 0 4  42.50  109
2 2 0  61.40  123
2 0 4  61.53  244
3 1 2  73.58  214
1 1 6  73.82  106
2 2 4  77.53  67

# 12
Diffraction record for Cu. The powder XRD pattern is computed, not measured: it uses a structure optimized by DFT (PBE) and Cu Ka.
Neutral-atom scattering factors, no anomalous dispersion.

Crystal structure
a b c (Å): 2.5653 4.4268 8.3982
angles (deg): 90.00 90.00 90.00
Space group Cmcm (No. 63)
Asymmetric unit:
Cu: 0.0000 0.0000 0.0000 [4 per cell]
Cu: 0.0000 0.3335 0.2500 [4 per cell]

Largest 8 diffraction maxima, in order of rising 2θ, 2θ = 10–80°:
index  2theta  I_rel
1 1 1  42.11  443
0 2 1  42.22  221
0 0 4  43.08  552
1 1 2  46.27  1000
0 2 2  46.37  495
0 2 3  52.66  331
0 2 5  70.31  129
1 3 0  74.13  194

# 13
Diffraction record for Tb2UMn2C4. The powder XRD pattern is computed, not measured: it uses a structure optimized by DFT (PBE) and Cu Ka.
Neutral-atom scattering factors, no anomalous dispersion.

Crystal structure
a b c (Å): 12.6842 3.3543 6.0053
angles (deg): 90.00 108.90 90.00
Space group C2/m (No. 12)
Asymmetric unit:
Tb: 0.1369 0.0000 0.0487 [4 per cell]
U: 0.0000 0.0000 0.5000 [2 per cell]
Mn: 0.1830 0.5000 0.4969 [4 per cell]
C: 0.0339 0.5000 0.2581 [4 per cell]
C: 0.2205 0.0000 0.7024 [4 per cell]

Largest 8 diffraction maxima, in order of rising 2θ, 2θ = 10–80°:
index  2theta  I_rel
2 0 1  24.83  356
1 1 0  27.61  901
4 0 -1  28.80  768
0 0 2  31.49  745
3 1 -1  35.20  1000
4 0 1  38.19  366
1 1 -2  40.41  661
3 1 1  41.46  931